(1)
Simulated X-ray diffraction stick pattern
Compound: CaHo12Co6
Radiation: Cu Kα (λ = 1.5418 Å)
Structure: the GGA-PBE geometry in Alexandria
No peak broadening, texture or thermal motion is included.

Peak list (10 most intense, 15 to 90 degrees two-theta, low angle first)
2θ/deg  d_spacing  Rel. int.
28.9  3.090  55.5
31.7  2.820  46.7
34.3  2.611  100.0
36.8  2.443  15.9
47.4  1.916  25.8
54.8  1.676  38.3
58.2  1.585  38.9
67.8  1.382  17.7
84.1  1.151  16.6
85.5  1.136  19.6

Structural model:
```
CaHo12Co6
1.0
-4.885 4.885 4.885
4.885 -4.885 4.885
4.885 4.885 -4.885
Ca Ho Co
1 12 6
Direct
0.000 0.000 0.000
0.116 0.312 0.804
0.196 0.508 0.312
0.196 0.884 0.688
0.312 0.196 0.508
0.312 0.804 0.116
0.492 0.688 0.804
0.508 0.312 0.196
0.688 0.196 0.884
0.688 0.804 0.492
0.804 0.116 0.312
0.804 0.492 0.688
0.884 0.688 0.196
0.113 0.500 0.613
0.387 0.887 0.500
0.500 0.387 0.887
0.500 0.613 0.113
0.613 0.113 0.500
0.887 0.500 0.387
```

---

(2)
Simulated X-ray diffraction stick pattern
Compound: Na2LuTl
Radiation: Cu Kα (λ = 1.5418 Å)
Structure: the GGA-PBE geometry in Alexandria
No peak broadening, texture or thermal motion is included.

Peak list (10 most intense, 15 to 90 degrees two-theta, low angle first)
2θ/deg  d_spacing  Rel. int.
28.9  3.092  43.5
30.7  2.911  100.0
31.9  2.809  68.1
36.1  2.488  56.2
39.0  2.308  58.3
46.1  1.971  29.0
50.0  1.823  18.2
53.9  1.702  23.9
56.1  1.641  26.1
62.3  1.491  29.8

Structural model:
```
Na2LuTl
1.0
1.702 0.982 12.369
-1.702 0.982 12.369
0.000 -1.965 12.369
Na Lu Tl
2 1 1
Direct
0.091 0.091 0.091
0.909 0.909 0.909
0.000 0.000 0.000
0.500 0.500 0.500
```

---

(3)
Simulated X-ray diffraction stick pattern
Compound: SrInPb3
Radiation: Cu Kα (λ = 1.5418 Å)
Structure: the GGA-PBE geometry in Alexandria
No peak broadening, texture or thermal motion is included.

Peak list (10 most intense, 15 to 90 degrees two-theta, low angle first)
2θ/deg  d_spacing  Rel. int.
30.5  2.933  100.0
30.9  2.896  88.9
34.9  2.574  31.8
35.5  2.532  27.6
36.4  2.469  31.6
51.3  1.782  21.5
51.7  1.768  19.0
59.6  1.552  13.7
60.3  1.534  19.9
61.8  1.500  17.9

Structural model:
```
SrInPb3
1.0
8.069 0.000 0.000
0.000 4.938 0.000
-0.207 0.000 8.077
Sr In Pb
2 2 6
Direct
0.182 0.250 0.063
0.818 0.750 0.937
0.054 0.750 0.369
0.946 0.250 0.631
0.236 0.750 0.742
0.345 0.250 0.458
0.474 0.750 0.189
0.526 0.250 0.811
0.655 0.750 0.542
0.764 0.250 0.258
```

---

(4)
Simulated X-ray diffraction stick pattern
Compound: Nd3Si2
Radiation: Cu Kα (λ = 1.5418 Å)
Structure: the GGA-PBE geometry in Alexandria
No peak broadening, texture or thermal motion is included.

Peak list (10 most intense, 15 to 90 degrees two-theta, low angle first)
2θ/deg  d_spacing  Rel. int.
22.2  4.000  20.1
27.5  3.246  32.3
31.3  2.859  100.0
32.5  2.751  32.6
35.6  2.521  31.1
40.5  2.226  18.0
49.7  1.836  12.9
51.0  1.790  17.2
52.9  1.731  16.6
62.0  1.497  19.0

Structural model:
```
Nd3Si2
1.0
-2.226 3.246 4.556
2.226 -3.246 4.556
2.226 3.246 -4.556
Nd Si
3 2
Direct
0.000 0.000 0.000
0.297 0.797 0.500
0.703 0.203 0.500
0.311 0.500 0.811
0.689 0.500 0.189
```